# 1
This entry pairs a crystal structure of Pm8Y2Cd with its calculated XRD peak list. Radiation: Cu Kα (λ = 1.5418 Å). Structure: a structure optimized by DFT (GGA-PBE).
Intensities are scaled so that the largest is 1000.

Largest 6 diffraction maxima, in order of rising 2θ, 2θ = 5–70°:
2.929 Å, 30.52 deg, intensity 1000; 2.572 Å, 34.88 deg, intensity 170; 2.560 Å, 35.05 deg, intensity 178; 2.481 Å, 36.21 deg, intensity 152; 1.545 Å, 59.85 deg, intensity 129; 1.540 Å, 60.08 deg, intensity 147

Crystal structure
Cell: 6.2603 6.2603 12.6652 Å, 102.80 102.80 48.28°
Fractional positions:
Pm: 0.0361 0.0361 0.3236
Pm: 0.1401 0.1401 0.9529
Pm: 0.2481 0.2481 0.5875
Pm: 0.4103 0.4103 0.8603
Pm: 0.5897 0.5897 0.1397
Pm: 0.7519 0.7519 0.4125
Pm: 0.8599 0.8599 0.0471
Pm: 0.9639 0.9639 0.6764
Y: 0.3146 0.3146 0.2392
Y: 0.6854 0.6854 0.7608
Cd: 0.5000 0.5000 0.5000

***

# 2
This entry pairs a crystal structure of Pm3YCd2 with its calculated XRD peak list. Radiation: Cu Kα (λ = 1.5418 Å). Structure: a structure optimized by DFT (GGA-PBE).
Intensities are scaled so that the largest is 1000.

Largest 6 diffraction maxima, in order of rising 2θ, 2θ = 5–70°:
2.823 Å, 31.69 deg, intensity 1000; 2.458 Å, 36.56 deg, intensity 337; 2.420 Å, 37.14 deg, intensity 163; 1.725 Å, 53.11 deg, intensity 227; 1.481 Å, 62.72 deg, intensity 137; 1.464 Å, 63.57 deg, intensity 132

Crystal structure
Cell: 7.7639 7.7639 4.8410 Å, 90.00 90.00 143.04°
Fractional positions:
Pm: 0.0000 0.0000 0.0000
Pm: 0.3271 0.6729 0.0000
Pm: 0.6729 0.3271 0.0000
Y: 0.5000 0.5000 0.5000
Cd: 0.1649 0.8351 0.5000
Cd: 0.8351 0.1649 0.5000